1.
Simulated powder diffraction line list
Compound: Pr4Al
Radiation: CuKα
Structure: a DFT-relaxed cell (GGA-PBE, the Materials Project)

Atomic structure:
Cell: 11.543 11.543 11.543 Å, 90.00 90.00 90.00°
Space group Fd-3m (No. 227, origin choice 2)
Symmetry-distinct sites (fractional):
Pr  0.018  0.018  0.232 x32
Al  0.125  0.125  0.625 x8

Principal peaks in the range 5 to 70 degrees two-theta, low angle first:
hkl	2θ/deg	Rel. int.
1 1 1	13.29	10
2 2 2	26.75	100
4 0 0	30.99	43
3 3 1	33.85	16
3 3 3	40.61	25
4 4 0	44.40	33
6 2 2	52.59	30
4 4 4	55.12	7
5 5 1	56.97	13
7 3 1	61.73	12
8 0 0	64.59	3
7 3 3	66.28	10

=====

2.
Simulated powder diffraction line list
Compound: MgFeCu2SnS4
Radiation: CuKα
Structure: a DFT-relaxed cell (GGA-PBE, the Materials Project)

Atomic structure:
Cell: 5.480 6.292 6.640 Å, 118.03 114.31 90.10°
Space group P1 (No. 1)
Symmetry-distinct sites (fractional):
Mg  0.000  0.000  0.000 x1
Fe  0.500  0.000  0.999 x1
Cu  0.270  0.271  0.540 x1
Cu  0.730  0.730  0.459 x1
Sn  0.002  0.499  0.999 x1
S  0.138  0.065  0.716 x1
S  0.421  0.934  0.283 x1
S  0.580  0.651  0.718 x1
S  0.862  0.349  0.281 x1

Principal peaks in the range 5 to 70 degrees two-theta, low angle first:
hkl	2θ/deg	Rel. int.
1 -1 1	27.59	100
1 1 -2	27.66	33
0 2 -1	28.37	16
1 0 -2	30.59	13
2 0 -1	32.68	11
2 2 -2	43.82	38
0 2 1	45.26	16
0 2 -3	45.44	16
2 0 1	48.35	27
1 3 -1	49.70	12
1 -3 2	49.83	12
3 1 -1	55.29	18

=====

3.
Simulated powder diffraction line list
Compound: Cs2AgAsBr6
Radiation: CuKα
Structure: a DFT-relaxed cell (GGA-PBE, the Materials Project)

Atomic structure:
Cell: 11.105 11.105 11.105 Å, 90.00 90.00 90.00°
Space group Fm-3m (No. 225)
Symmetry-distinct sites (fractional):
Cs  0.250  0.250  0.250 x8
Ag  0.000  0.000  0.000 x4
As  0.000  0.000  0.500 x4
Br  0.000  0.000  0.258 x24

Principal peaks in the range 5 to 70 degrees two-theta, low angle first:
hkl	2θ/deg	Rel. int.
2 0 0	15.96	6
2 2 0	22.65	46
2 2 2	27.83	70
4 0 0	32.24	100
4 2 0	36.17	3
4 2 2	39.77	20
4 4 0	46.25	71
6 2 0	52.09	10
6 2 2	54.84	30
4 4 4	57.50	24
6 4 2	62.60	11
8 0 0	67.47	11

=====

4.
Simulated powder diffraction line list
Compound: Ba6Nd2Al4O15
Radiation: CuKα
Structure: a DFT-relaxed cell (GGA-PBE, the Materials Project)

Atomic structure:
Cell: 11.799 20.278 7.114 Å, 90.00 90.82 90.00°
Space group Cc (No. 9)
Symmetry-distinct sites (fractional):
Ba  0.000  0.001  0.000 x4
Ba  0.241  0.414  0.684 x4
Ba  0.256  0.087  0.180 x4
Ba  0.278  0.239  0.848 x4
Ba  0.495  0.326  0.180 x4
Ba  0.499  0.167  0.495 x4
Nd  0.215  0.261  0.351 x4
Nd  0.498  0.019  0.854 x4
Al  0.224  0.413  0.191 x4
Al  0.274  0.090  0.674 x4
Al  0.495  0.318  0.682 x4
Al  0.496  0.163  0.038 x4
O  0.003  0.250  0.350 x4
O  0.116  0.297  0.657 x4
O  0.123  0.381  0.360 x4
O  0.125  0.196  0.071 x4
O  0.133  0.466  0.056 x4
O  0.154  0.051  0.772 x4
O  0.237  0.158  0.527 x4
O  0.261  0.338  0.079 x4
O  0.343  0.456  0.276 x4
O  0.363  0.034  0.550 x4
O  0.376  0.304  0.528 x4
O  0.379  0.119  0.852 x4
O  0.381  0.204  0.181 x4
O  0.487  0.398  0.782 x4
O  0.498  0.083  0.175 x4

Principal peaks in the range 5 to 70 degrees two-theta, low angle first:
hkl	2θ/deg	Rel. int.
0 4 1	21.55	22
1 3 -2	29.27	19
2 0 2	29.48	17
4 0 0	30.30	39
2 6 0	30.48	100
0 4 2	30.71	21
2 2 2	30.83	21
3 3 -2	36.33	12
0 6 2	36.68	13
4 4 1	37.65	17
0 8 2	43.90	18
6 6 0	53.96	16